Structure and theoretical powder diffraction line list of MgTl14Sn (a GGA-PBE-relaxed structure; a wavelength of 1.5418 Å).
Peak positions follow from Bragg's law for the DFT cell and can differ from measured ones.

Top 8 peaks for 2θ = 10–90°, low angle first:
hkl 1 0 4, 2θ 30.66, intensity 34
hkl 4 0 0, 2θ 31.57, intensity 32
hkl 2 2 2, 2θ 33.65, intensity 100
hkl 3 0 4, 2θ 38.17, intensity 19
hkl 0 4 0, 2θ 52.53, intensity 24
hkl 6 2 2, 2θ 57.56, intensity 21
hkl 4 4 0, 2θ 62.59, intensity 28
hkl 2 0 8, 2θ 63.85, intensity 16

Structure:
a b c (Å): 11.336 6.963 12.078
angles (deg): 90.00 90.00 90.00
Space group Amm2 (No. 38)
Inequivalent atoms, fractional coordinates:
Mg 0.000 0.000 0.000 x2
Tl 0.000 0.250 0.244 x4
Tl 0.238 0.249 0.917 x8
Tl 0.247 0.000 0.165 x4
Tl 0.251 0.000 0.666 x4
Tl 0.500 0.000 0.332 x2
Tl 0.500 0.000 0.838 x2
Tl 0.500 0.249 0.082 x4
Sn 0.000 0.000 0.504 x2

---

Structure and theoretical powder diffraction line list of Sr3Pd2Pb3 (a GGA-PBE-relaxed structure; a wavelength of 1.5418 Å).
Peak positions follow from Bragg's law for the DFT cell and can differ from measured ones.

Top 8 peaks for 2θ = 10–90°, low angle first:
hkl 1 0 1, 2θ 17.31, intensity 53
hkl 2 4 0, 2θ 29.02, intensity 88
hkl 1 0 2, 2θ 30.31, intensity 77
hkl 2 4 1, 2θ 32.44, intensity 89
hkl 3 0 1, 2θ 33.24, intensity 100
hkl 1 3 2, 2θ 34.31, intensity 81
hkl 1 4 2, 2θ 37.16, intensity 95
hkl 1 7 1, 2θ 41.28, intensity 56

Structure:
a b c (Å): 8.961 16.926 6.246
angles (deg): 90.00 90.00 90.00
Space group Pnma (No. 62)
Inequivalent atoms, fractional coordinates:
Sr 0.036 0.111 0.115 x8
Sr 0.175 0.250 0.621 x4
Pd 0.098 0.610 0.384 x8
Pb 0.173 0.750 0.612 x4
Pb 0.184 0.037 0.613 x8

---

Structure and theoretical powder diffraction line list of NaSnPtO6 (a GGA-PBE-relaxed structure; a wavelength of 1.5418 Å).
Peak positions follow from Bragg's law for the DFT cell and can differ from measured ones.

Top 8 peaks for 2θ = 10–90°, low angle first:
hkl 0 0 2, 2θ 17.90, intensity 100
hkl 1 0 0, 2θ 18.97, intensity 58
hkl 1 0 2, 2θ 26.19, intensity 86
hkl 1 1 0, 2θ 33.17, intensity 63
hkl 1 1 2, 2θ 37.94, intensity 83
hkl 1 1 4, 2θ 49.94, intensity 65
hkl 2 1 2, 2θ 55.15, intensity 22
hkl 3 0 0, 2θ 59.27, intensity 32

Structure:
a b c (Å): 5.4021 5.4021 9.9127
angles (deg): 90.00 90.00 120.00
Space group P-31c (No. 163)
Inequivalent atoms, fractional coordinates:
Na 0.0000 0.0000 0.0000 x2
Sn 0.3333 0.6667 0.2500 x2
Pt 0.3333 0.6667 0.7500 x2
O 0.0196 0.3787 0.6399 x12

---

Structure and theoretical powder diffraction line list of SmErSc4 (a GGA-PBE-relaxed structure; a wavelength of 1.5418 Å).
Peak positions follow from Bragg's law for the DFT cell and can differ from measured ones.

Top 8 peaks for 2θ = 10–90°, low angle first:
hkl 1 0 1, 2θ 19.25, intensity 40
hkl 1 0 3, 2θ 33.60, intensity 100
hkl 2 0 0, 2θ 33.71, intensity 16
hkl 0 0 4, 2θ 39.07, intensity 7
hkl 2 2 2, 2θ 48.28, intensity 24
hkl 0 0 6, 2θ 60.11, intensity 19
hkl 3 0 3, 2θ 60.22, intensity 14
hkl 2 4 0, 2θ 67.14, intensity 13

Structure:
a b c (Å): 5.318 6.546 9.235
angles (deg): 90.00 90.00 90.00
Space group Immm (No. 71)
Inequivalent atoms, fractional coordinates:
Sm 0.000 0.000 0.000 x2
Er 0.000 0.500 0.000 x2
Sc 0.000 0.250 0.333 x8